Record 1
Calculated powder diffractogram
Compound: Li3WN2
Radiation: Cu Kα, 1.54184 Å
Structure: a cell relaxed with PBE
Lines closer than 0.1° are merged.

Most intense lines, 10 to 90 degrees two-theta, most intense first:
- 2θ 22.15, I = 100
- 2θ 34.13, I = 70
- 2θ 52.68, I = 27
- 2θ 36.57, I = 24
- 2θ 57.83, I = 24
- 2θ 50.88, I = 18

Crystal structure
```
Li3WN2
1.0
-4.9145 4.9145 4.9145
4.9145 -4.9145 4.9145
4.9145 4.9145 -4.9145
Li W N
24 8 16
direct
0.0068 0.9547 0.2318
0.0453 0.7682 0.9932
0.0521 0.5068 0.2751
0.2229 0.7751 0.2682
0.2249 0.7318 0.7771
0.2318 0.0068 0.9547
0.2682 0.2229 0.7751
0.2751 0.0521 0.5068
0.2771 0.5453 0.5521
0.4479 0.7229 0.4547
0.4547 0.4479 0.7229
0.4932 0.7249 0.9479
0.5068 0.2751 0.0521
0.5453 0.5521 0.2771
0.5521 0.2771 0.5453
0.7229 0.4547 0.4479
0.7249 0.9479 0.4932
0.7318 0.7771 0.2249
0.7682 0.9932 0.0453
0.7751 0.2682 0.2229
0.7771 0.2249 0.7318
0.9479 0.4932 0.7249
0.9547 0.2318 0.0068
0.9932 0.0453 0.7682
0.0000 0.2313 0.5000
0.0000 0.7687 0.5000
0.2313 0.5000 0.0000
0.2687 0.2687 0.2687
0.5000 0.0000 0.2313
0.5000 0.0000 0.7687
0.7313 0.7313 0.7313
0.7687 0.5000 0.0000
0.0000 0.0000 0.5000
0.0000 0.5000 0.0000
0.0213 0.2500 0.2713
0.2287 0.4787 0.7500
0.2500 0.2713 0.0213
0.2500 0.7713 0.5213
0.2713 0.0213 0.2500
0.4787 0.7500 0.2287
0.5000 0.0000 0.0000
0.5000 0.5000 0.5000
0.5213 0.2500 0.7713
0.7287 0.9787 0.7500
0.7500 0.2287 0.4787
0.7500 0.7287 0.9787
0.7713 0.5213 0.2500
0.9787 0.7500 0.7287
```

---

Record 2
Calculated powder diffractogram
Compound: K3AlSe3
Radiation: Cu Kα, 1.54184 Å
Structure: a cell relaxed with PBE
Lines closer than 0.1° are merged.

Most intense lines, 10 to 90 degrees two-theta, most intense first:
- 2θ 28.37, I = 100
- 2θ 26.23, I = 89
- 2θ 29.81, I = 84
- 2θ 29.28, I = 68
- 2θ 34.64, I = 56
- 2θ 27.35, I = 51

Crystal structure
```
K3AlSe3
1.0
8.1961 0.0000 0.0000
0.0000 13.3131 0.0000
-6.4822 0.0000 8.3501
K Al Se
12 4 12
direct
0.1226 0.1193 0.4705
0.1226 0.3807 0.9705
0.1783 0.1021 0.8986
0.1783 0.3979 0.3986
0.3489 0.6882 0.5746
0.3489 0.8118 0.0746
0.6511 0.1882 0.9254
0.6511 0.3118 0.4254
0.8217 0.6021 0.6014
0.8217 0.8979 0.1014
0.8774 0.6193 0.0295
0.8774 0.8807 0.5295
0.4429 0.0623 0.3420
0.4429 0.4377 0.8420
0.5571 0.5623 0.1580
0.5571 0.9377 0.6580
0.1747 0.1860 0.1988
0.1747 0.3140 0.6988
0.3276 0.6013 0.8681
0.3276 0.8987 0.3681
0.3706 0.5466 0.2624
0.3706 0.9534 0.7624
0.6294 0.0466 0.2376
0.6294 0.4534 0.7376
0.6724 0.1013 0.6319
0.6724 0.3987 0.1319
0.8253 0.6860 0.3012
0.8253 0.8140 0.8012
```

---

Record 3
Calculated powder diffractogram
Compound: Sr3IrN3
Radiation: Cu Kα, 1.54184 Å
Structure: a cell relaxed with PBE
Lines closer than 0.1° are merged.

Most intense lines, 10 to 90 degrees two-theta, most intense first:
- 2θ 31.52, I = 100
- 2θ 33.60, I = 39
- 2θ 13.20, I = 38
- 2θ 21.28, I = 35
- 2θ 39.36, I = 32
- 2θ 28.49, I = 28

Crystal structure
```
Sr3IrN3
1.0
7.7430 0.0000 0.0000
-3.8715 6.7056 0.0000
0.0000 0.0000 5.3348
Sr Ir N
6 2 6
direct
0.0957 0.3624 0.2500
0.2667 0.9043 0.2500
0.3624 0.2667 0.7500
0.6376 0.7333 0.2500
0.7333 0.0957 0.7500
0.9043 0.6376 0.7500
0.3333 0.6667 0.7500
0.6667 0.3333 0.2500
0.1049 0.4050 0.7500
0.3002 0.8951 0.7500
0.4050 0.3002 0.2500
0.5950 0.6998 0.7500
0.6998 0.1049 0.2500
0.8951 0.5950 0.2500
```